TbTmAlIr2: calculated X-ray powder pattern (Cu Kα), based on a GGA-PBE-relaxed structure.
Peak positions follow from Bragg's law for the DFT cell and can differ from measured ones.

Most intense lines, 2θ = 10–90°, by angle:
24.17 deg, I = 42; 26.63 deg, I = 41; 34.14 deg, I = 55; 37.47 deg, I = 83; 38.76 deg, I = 79; 39.44 deg, I = 100; 44.30 deg, I = 38; 59.38 deg, I = 44; 68.00 deg, I = 43; 77.32 deg, I = 21

```
data_TbTmAlIr2
_space_group_name_H-M_alt 'I m m 2'
_space_group_IT_number 44
_space_group_name_Hall 'I 2 -2'
_cell_length_a 4.0891
_cell_length_b 5.8262
_cell_length_c 8.4706
_cell_angle_alpha 90.00
_cell_angle_beta 90.00
_cell_angle_gamma 90.00
loop_
_atom_site_label
_atom_site_type_symbol
_atom_site_fract_x
_atom_site_fract_y
_atom_site_fract_z
Tb1 Tb 0.0000 0.0000 0.0000
Tm1 Tm 0.0000 0.0000 0.6037
Al1 Al 0.0000 0.5000 0.8022
Ir1 Ir 0.0000 0.2598 0.3019
```